The following is a theoretical powder diffraction line list of Sr2PaTiO6. It was derived from a cell relaxed with PBE, using copper Kα.

Principal peaks in the range 2θ = 5–70°, by angle:
2theta  I/Imax  h k l
10.42  15  0 0 1
21.04  9  1 0 0
23.53  40  1 0 1
29.88  100  1 1 0
31.62  10  0 0 3
42.84  24  2 0 0
44.10  16  1 1 3
49.45  12  2 1 1
53.09  26  2 1 2
62.01  9  2 0 4

Atomic structure:
```
Sr2PaTiO6
1.0
4.222 0.000 0.000
0.000 4.222 0.000
0.000 0.000 8.488
Sr Pa Ti O
2 1 1 6
direct
0.000 0.000 0.201
0.000 0.000 0.799
0.500 0.500 0.500
0.500 0.500 0.000
0.000 0.500 0.000
0.000 0.500 0.500
0.500 0.000 0.000
0.500 0.000 0.500
0.500 0.500 0.241
0.500 0.500 0.759
```